(1)
Structure and computed powder XRD pattern of BaYF5 (a GGA-PBE-relaxed structure; λ = 1.5418 Å (Cu Kα)).

Structure:
```
BaYF5
1.0
5.460 0.000 0.000
0.000 5.627 0.000
0.000 0.000 15.502
Ba Y F
4 4 20
Cartesian
0.022 0.329 6.136 Ba
2.707 5.297 13.887 Ba
2.752 2.484 9.367 Ba
5.437 3.143 1.615 Ba
0.102 5.289 10.435 Y
2.628 0.338 2.684 Y
2.832 3.151 5.067 Y
5.358 2.476 12.818 Y
0.172 0.522 13.754 F
0.723 3.423 14.618 F
0.758 0.406 1.546 F
1.316 1.321 11.414 F
1.319 4.008 11.884 F
1.411 1.619 4.133 F
1.414 4.306 3.663 F
1.972 5.220 9.297 F
2.007 2.204 6.867 F
2.558 5.105 6.003 F
2.901 2.292 1.748 F
3.452 5.017 0.884 F
3.487 2.407 13.956 F
4.046 1.493 4.088 F
4.048 4.432 3.618 F
4.141 1.195 11.369 F
4.144 4.134 11.839 F
4.702 3.220 6.205 F
4.737 0.610 8.635 F
5.288 3.335 9.499 F
```

Most intense lines, 2θ = 10–90°, low angle first:
2theta  d/Å  intensity
22.95  3.876  34
23.42  3.799  100
23.71  3.753  43
25.47  3.497  27
27.95  3.192  30
28.59  3.122  50
32.81  2.730  25
40.42  2.232  29
43.63  2.075  25
44.13  2.052  28
46.35  1.959  20
52.95  1.729  23

(2)
Structure and computed powder XRD pattern of SrGa4 (a GGA-PBE-relaxed structure; λ = 1.5418 Å (Cu Kα)).

Structure:
```
SrGa4
1.0
-2.244 2.244 5.424
2.244 -2.244 5.424
2.244 2.244 -5.424
Sr Ga
1 4
Cartesian
0.000 0.000 0.000 Sr
2.244 0.000 2.712 Ga
0.000 0.000 4.152 Ga
0.000 0.000 6.696 Ga
0.000 2.244 2.712 Ga
```

Most intense lines, 2θ = 10–90°, low angle first:
2theta  d/Å  intensity
31.78  2.816  54
32.70  2.739  100
40.19  2.244  66
43.92  2.062  29
46.49  1.953  27
52.13  1.755  26
58.15  1.586  22
58.78  1.571  11
63.11  1.473  21
68.33  1.373  23
75.64  1.257  11
83.26  1.160  14

(3)
Structure and computed powder XRD pattern of GeP2O9 (a GGA-PBE-relaxed structure; λ = 1.5418 Å (Cu Kα)).

Structure:
```
GeP2O9
1.0
8.316 0.000 0.000
0.000 4.848 0.000
-5.230 0.000 15.078
Ge P O
4 8 36
Cartesian
-0.543 1.187 7.360 Ge
-3.158 1.237 14.899 Ge
6.244 3.612 0.179 Ge
3.629 3.661 7.718 Ge
-2.029 3.580 5.899 P
-4.644 3.693 13.438 P
0.740 3.607 9.071 P
3.356 3.665 1.532 P
-0.269 1.183 13.546 P
2.346 1.241 6.007 P
7.731 1.155 1.641 P
5.116 1.269 9.180 P
-1.724 0.213 6.230 O
-4.339 2.212 13.770 O
-0.350 1.020 3.182 O
-2.965 1.404 10.722 O
0.702 0.658 0.970 O
-1.913 1.767 8.509 O
-0.812 2.708 6.293 O
-3.428 4.565 13.832 O
-1.795 3.155 11.149 O
0.820 4.118 3.610 O
2.280 2.731 0.941 O
-0.335 4.542 8.480 O
0.925 0.693 6.263 O
-1.690 1.731 13.803 O
3.247 0.260 0.991 O
0.632 2.164 8.530 O
0.459 3.572 10.614 O
3.074 3.701 3.074 O
0.013 1.147 12.004 O
2.628 1.277 4.465 O
2.454 2.684 6.548 O
-0.161 4.589 14.087 O
4.777 3.117 1.276 O
2.161 4.155 8.815 O
3.422 0.306 6.598 O
0.807 2.118 14.137 O
2.267 0.731 11.469 O
4.882 1.694 3.929 O
6.514 0.284 1.246 O
3.899 2.140 8.786 O
5.000 3.082 6.570 O
2.385 4.191 14.109 O
6.051 3.445 4.357 O
3.436 3.828 11.896 O
7.425 2.637 1.309 O
4.810 4.636 8.848 O
```

Most intense lines, 2θ = 10–90°, low angle first:
2theta  d/Å  intensity
11.74  7.539  100
21.54  4.126  24
21.82  4.074  16
26.35  3.383  81
26.88  3.317  38
29.22  3.056  7
34.89  2.571  8
37.08  2.424  9
37.37  2.406  16
38.61  2.332  7
41.33  2.184  9
67.03  1.396  7

(4)
Structure and computed powder XRD pattern of Li2SnS3 (a GGA-PBE-relaxed structure; λ = 1.5418 Å (Cu Kα)).

Structure:
```
Li2SnS3
1.0
3.223 -5.583 0.000
3.223 5.583 0.000
-2.145 0.000 12.292
Li Sn S
8 4 12
Cartesian
0.539 2.792 6.146 Li
1.614 4.656 9.219 Li
1.639 0.943 0.005 Li
0.567 -0.943 6.151 Li
1.611 -2.792 0.000 Li
3.734 0.943 6.141 Li
2.661 -0.943 12.287 Li
2.687 -4.656 3.073 Li
2.687 2.793 3.073 Sn
1.614 0.930 9.219 Sn
2.687 -0.930 3.073 Sn
1.614 -2.793 9.219 Sn
-0.486 1.018 7.717 S
0.489 2.709 10.697 S
0.587 -1.018 1.571 S
1.702 0.927 4.551 S
2.739 2.709 7.741 S
0.629 -0.927 10.697 S
3.671 0.927 1.595 S
1.562 -2.709 4.551 S
2.599 -0.927 7.742 S
3.714 1.018 10.722 S
3.812 -2.709 1.595 S
4.787 -1.018 4.575 S
```

Most intense lines, 2θ = 10–90°, low angle first:
2theta  d/Å  intensity
14.41  6.146  72
16.06  5.520  23
17.45  5.083  18
28.10  3.175  40
33.94  2.642  100
37.04  2.427  18
48.56  1.875  37
48.95  1.861  34
51.30  1.781  18
60.89  1.521  17
81.18  1.185  16
81.77  1.178  15

(5)
Structure and computed powder XRD pattern of Cs2La10Os2I17 (a GGA-PBE-relaxed structure; λ = 1.5418 Å (Cu Kα)).

Structure:
```
Cs2La10Os2I17
1.0
7.042 -9.655 0.000
7.042 9.655 0.000
-0.966 0.000 10.115
Cs La Os I
2 10 2 17
Cartesian
7.042 6.287 0.000 Cs
7.042 -6.287 0.000 Cs
1.970 0.000 4.491 La
4.479 2.895 5.799 La
3.340 0.000 8.265 La
5.833 0.000 3.240 La
8.639 2.895 4.316 La
4.479 -2.895 5.799 La
7.285 0.000 6.875 La
9.778 0.000 1.850 La
8.639 -2.895 4.316 La
11.149 0.000 5.624 La
4.482 0.000 5.773 Os
8.636 0.000 4.342 Os
4.499 6.387 5.864 I
0.182 0.000 7.277 I
3.146 3.239 8.719 I
2.829 0.000 1.321 I
5.738 3.366 2.762 I
8.619 6.387 4.251 I
7.380 3.366 7.353 I
3.146 -3.239 8.719 I
7.042 0.000 0.000 I
9.972 3.239 1.396 I
5.738 -3.366 2.762 I
4.499 -6.387 5.864 I
7.380 -3.366 7.353 I
10.289 0.000 8.794 I
9.972 -3.239 1.396 I
12.936 0.000 2.838 I
8.619 -6.387 4.251 I
```

Most intense lines, 2θ = 10–90°, low angle first:
2theta  d/Å  intensity
23.71  3.753  20
24.49  3.635  19
27.72  3.218  100
28.26  3.158  46
39.00  2.310  17
39.60  2.276  35
40.00  2.254  34
40.98  2.202  16
48.52  1.876  17
50.19  1.818  18
57.25  1.609  11
64.77  1.439  14

(6)
Structure and computed powder XRD pattern of NaLaZnS3O12 (a GGA-PBE-relaxed structure; λ = 1.5418 Å (Cu Kα)).

Structure:
```
NaLaZnS3O12
1.0
4.561 2.633 8.094
-4.561 2.633 8.094
0.000 -5.267 8.094
Na La Zn S O
2 2 2 6 24
Cartesian
0.000 0.000 0.000 Na
0.000 0.000 12.141 Na
0.000 0.000 3.841 La
0.000 0.000 15.982 La
0.000 0.000 8.670 Zn
0.000 0.000 20.811 Zn
-1.843 -2.468 10.411 S
-3.345 0.196 14.458 S
-1.216 2.830 10.411 S
1.503 -2.995 14.458 S
3.059 -0.362 10.411 S
1.843 2.799 14.458 S
-1.913 -0.017 5.137 O
-2.707 -2.385 11.613 O
-3.989 -1.140 14.335 O
-0.950 -3.664 10.487 O
-1.854 0.248 7.566 O
0.972 -1.648 5.137 O
-1.007 -1.243 10.288 O
0.712 -1.730 7.566 O
-2.698 2.655 10.487 O
-1.863 0.021 14.534 O
0.942 1.666 5.137 O
-0.573 1.494 10.288 O
-0.972 -1.648 17.278 O
1.142 1.482 7.566 O
1.580 -0.251 10.288 O
0.913 -1.624 14.534 O
-0.712 3.537 11.613 O
-0.942 1.666 17.278 O
2.981 -2.884 14.335 O
3.419 -1.152 11.613 O
0.950 1.603 14.534 O
3.648 1.009 10.487 O
1.913 -0.017 17.278 O
1.007 4.024 14.335 O
```

Most intense lines, 2θ = 10–90°, low angle first:
2theta  d/Å  intensity
13.37  6.622  39
18.43  4.813  64
19.46  4.561  71
22.37  3.974  85
26.93  3.311  40
29.51  3.027  100
33.44  2.679  23
34.04  2.633  43
45.66  1.987  35
48.31  1.884  27
53.13  1.724  26
58.15  1.586  27